KPtO3: calculated PXRD pattern (Cu Ka), based on a structure optimized by DFT (GGA-PBE).
Lines closer than 0.1° are merged.

Cell and atoms:
a b c (Å): 4.0464 4.0464 4.0464
angles (deg): 90.00 90.00 90.00
Space group Pm-3m (No. 221)
Unique sites:
K (0.0000, 0.0000, 0.0000)
Pt (0.5000, 0.5000, 0.5000)
O (0.0000, 0.5000, 0.5000)

Peak list (12 most intense, 10 to 90 degrees two-theta, in order of falling intensity)
- hkl 1 1 0, 2θ = 31.26°, rel. 100
- hkl 1 0 0, 2θ = 21.97°, rel. 72
- hkl 2 1 1, 2θ = 55.64°, rel. 40
- hkl 2 1 0, 2θ = 50.43°, rel. 33
- hkl 2 0 0, 2θ = 44.80°, rel. 31
- hkl 2 2 0, 2θ = 65.21°, rel. 19
- hkl 3 1 0, 2θ = 74.09°, rel. 17
- hkl 3 0 0, 2θ = 69.72°, rel. 16
- hkl 1 1 1, 2θ = 38.54°, rel. 9
- hkl 3 2 0, 2θ = 86.77°, rel. 7
- hkl 2 2 2, 2θ = 82.60°, rel. 6
- hkl 3 1 1, 2θ = 78.38°, rel. 5

***

KPtS2O9: calculated PXRD pattern (Cu Ka), based on a structure optimized by DFT (GGA-PBE).
Lines closer than 0.1° are merged.

Cell and atoms:
a b c (Å): 7.6179 7.7085 7.7791
angles (deg): 102.06 112.14 99.29
Space group P-1 (No. 2)
Unique sites:
K (0.2152, 0.4565, 0.2168)
Pt (0.1358, 0.9512, 0.6263)
S (0.1872, 0.9446, 0.2429)
S (0.2293, 0.3735, 0.6750)
O (0.0308, 0.0445, 0.8227)
O (0.0561, 0.3016, 0.4660)
O (0.1591, 0.4379, 0.8187)
O (0.1858, 0.7985, 0.0907)
O (0.2338, 0.8670, 0.4212)
O (0.3167, 0.1243, 0.2925)
O (0.3172, 0.2083, 0.7086)
O (0.3394, 0.8793, 0.8195)
O (0.3772, 0.5059, 0.6599)

Peak list (12 most intense, 10 to 90 degrees two-theta, in order of falling intensity)
- hkl 0 1 0, 2θ = 12.18°, rel. 100
- hkl 1 0 0, 2θ = 13.01°, rel. 84
- hkl 0 0 1, 2θ = 12.86°, rel. 70
- hkl 1 2 0, 2θ = 30.85°, rel. 69
- hkl 1 0 -1, 2θ = 13.87°, rel. 66
- hkl 2 0 -2, 2θ = 27.95°, rel. 47
- hkl 0 2 0, 2θ = 24.50°, rel. 38
- hkl 0 1 -1, 2θ = 14.88°, rel. 26
- hkl -1 1 1, 2θ = 18.73°, rel. 26
- hkl 1 1 -1, 2θ = 18.27°, rel. 24
- hkl 1 -1 0, 2θ = 15.30°, rel. 23
- hkl 1 0 -2, 2θ = 23.48°, rel. 23

***

Repeat the second record exactly.
KPtS2O9: calculated PXRD pattern (Cu Ka), based on a structure optimized by DFT (GGA-PBE).
Lines closer than 0.1° are merged.

Cell and atoms:
a b c (Å): 7.6179 7.7085 7.7791
angles (deg): 102.06 112.14 99.29
Space group P-1 (No. 2)
Unique sites:
K (0.2152, 0.4565, 0.2168)
Pt (0.1358, 0.9512, 0.6263)
S (0.1872, 0.9446, 0.2429)
S (0.2293, 0.3735, 0.6750)
O (0.0308, 0.0445, 0.8227)
O (0.0561, 0.3016, 0.4660)
O (0.1591, 0.4379, 0.8187)
O (0.1858, 0.7985, 0.0907)
O (0.2338, 0.8670, 0.4212)
O (0.3167, 0.1243, 0.2925)
O (0.3172, 0.2083, 0.7086)
O (0.3394, 0.8793, 0.8195)
O (0.3772, 0.5059, 0.6599)

Peak list (12 most intense, 10 to 90 degrees two-theta, in order of falling intensity)
- hkl 0 1 0, 2θ = 12.18°, rel. 100
- hkl 1 0 0, 2θ = 13.01°, rel. 84
- hkl 0 0 1, 2θ = 12.86°, rel. 70
- hkl 1 2 0, 2θ = 30.85°, rel. 69
- hkl 1 0 -1, 2θ = 13.87°, rel. 66
- hkl 2 0 -2, 2θ = 27.95°, rel. 47
- hkl 0 2 0, 2θ = 24.50°, rel. 38
- hkl 0 1 -1, 2θ = 14.88°, rel. 26
- hkl -1 1 1, 2θ = 18.73°, rel. 26
- hkl 1 1 -1, 2θ = 18.27°, rel. 24
- hkl 1 -1 0, 2θ = 15.30°, rel. 23
- hkl 1 0 -2, 2θ = 23.48°, rel. 23

***

- Which formula does entry 1 have?
  KPtO3